Record 1
For Sr3Ta4O12F2, a structure optimized by DFT (PBE) gives the theoretical powder diffraction line list in this record (Cu Kα X-rays).

Lattice parameters (Å, degrees): 7.4884 7.4884 7.4884 61.16 61.16 61.16
Atoms (fractional coordinates):
1 Sr 0.0000 0.5000 0.5000
2 Sr 0.5000 0.0000 0.5000
3 Sr 0.5000 0.5000 0.0000
4 Ta 0.0000 0.0000 0.0000
5 Ta 0.0000 0.0000 0.5000
6 Ta 0.0000 0.5000 0.0000
7 Ta 0.5000 0.0000 0.0000
8 O 0.0518 0.6908 0.6908
9 O 0.0671 0.0671 0.6858
10 O 0.0671 0.6858 0.0671
11 O 0.3092 0.3092 0.9482
12 O 0.3092 0.9482 0.3092
13 O 0.3142 0.9329 0.9329
14 O 0.6858 0.0671 0.0671
15 O 0.6908 0.0518 0.6908
16 O 0.6908 0.6908 0.0518
17 O 0.9329 0.3142 0.9329
18 O 0.9329 0.9329 0.3142
19 O 0.9482 0.3092 0.3092
20 F 0.3750 0.3750 0.3750
21 F 0.6250 0.6250 0.6250

Main lines, by angle (2θ from 10° to 90°):
two_theta	I_rel
14.28	48
27.66	21
28.79	100
29.48	32
33.56	45
47.74	30
48.65	29
56.71	15
57.11	29
57.92	14

Record 2
For SrTiO2F6, a structure optimized by DFT (PBE) gives the theoretical powder diffraction line list in this record (Cu Kα X-rays).

Lattice parameters (Å, degrees): 6.1744 10.4584 11.7319 90.00 113.42 90.00
Atoms (fractional coordinates):
1 Sr 0.2232 0.2164 0.0544
2 Sr 0.2232 0.2836 0.5544
3 Sr 0.7768 0.7164 0.4456
4 Sr 0.7768 0.7836 0.9456
5 Ti 0.1318 0.5304 0.2482
6 Ti 0.1318 0.9696 0.7482
7 Ti 0.8682 0.0304 0.2518
8 Ti 0.8682 0.4696 0.7518
9 O 0.1756 0.5637 0.5924
10 O 0.1756 0.9363 0.0924
11 O 0.4027 0.6810 0.0012
12 O 0.4027 0.8190 0.5012
13 O 0.5973 0.1810 0.4988
14 O 0.5973 0.3190 0.9988
15 O 0.8244 0.0637 0.9076
16 O 0.8244 0.4363 0.4076
17 F 0.0022 0.1322 0.3942
18 F 0.0022 0.3678 0.8942
19 F 0.0196 0.6478 0.3379
20 F 0.0196 0.8522 0.8379
21 F 0.1445 0.5641 0.7998
22 F 0.1445 0.9359 0.2998
23 F 0.2597 0.0708 0.8978
24 F 0.2597 0.4292 0.3978
25 F 0.2691 0.0850 0.6738
26 F 0.2691 0.4150 0.1738
27 F 0.4118 0.6311 0.3010
28 F 0.4118 0.8689 0.8010
29 F 0.5882 0.1311 0.1990
30 F 0.5882 0.3689 0.6990
31 F 0.7309 0.5850 0.8262
32 F 0.7309 0.9150 0.3262
33 F 0.7403 0.5708 0.6022
34 F 0.7403 0.9292 0.1022
35 F 0.8555 0.0641 0.7002
36 F 0.8555 0.4359 0.2002
37 F 0.9804 0.1478 0.1621
38 F 0.9804 0.3522 0.6621
39 F 0.9978 0.6322 0.1058
40 F 0.9978 0.8678 0.6058

Main lines, by angle (2θ from 10° to 90°):
two_theta	I_rel
15.64	49
17.80	54
18.54	44
19.60	49
23.72	100
24.57	42
30.48	40
42.43	29
44.48	25
46.64	25

Record 3
For TaO2F, a structure optimized by DFT (PBE) gives the theoretical powder diffraction line list in this record (Cu Kα X-rays).

Lattice parameters (Å, degrees): 3.9812 3.9812 7.7735 90.00 90.00 90.00
Atoms (fractional coordinates):
1 Ta 0.0000 0.0000 0.0000
2 Ta 0.0000 0.0000 0.5000
3 O 0.0000 0.0000 0.2500
4 O 0.0000 0.0000 0.7500
5 O 0.0000 0.5000 0.0000
6 O 0.5000 0.0000 0.5000
7 F 0.0000 0.5000 0.5000
8 F 0.5000 0.0000 0.0000

Main lines, by angle (2θ from 10° to 90°):
two_theta	I_rel
22.33	100
22.88	49
31.79	27
32.19	54
39.53	19
45.57	21
51.32	21
51.59	21
52.39	20
56.88	23

Record 4
For TaO2F, a structure optimized by DFT (PBE) gives the theoretical powder diffraction line list in this record (Cu Kα X-rays).

Lattice parameters (Å, degrees): 3.8890 3.8890 4.1091 90.00 90.00 90.00
Atoms (fractional coordinates):
1 Ta 0.0000 0.0000 0.0000
2 O 0.0000 0.5000 0.0000
3 O 0.5000 0.0000 0.0000
4 F 0.0000 0.0000 0.5000

Main lines, by angle (2θ from 10° to 90°):
two_theta	I_rel
21.63	54
22.87	100
31.68	55
32.56	28
39.43	20
46.71	20
50.22	24
52.03	20
52.62	21
57.54	22

Record 5
For Ta3O7F, a structure optimized by DFT (PBE) gives the theoretical powder diffraction line list in this record (Cu Kα X-rays).

Lattice parameters (Å, degrees): 6.2089 6.2089 3.9421 90.00 90.00 114.75
Atoms (fractional coordinates):
1 Ta 0.0000 0.0000 0.0000
2 Ta 0.3165 0.6835 0.0000
3 Ta 0.6835 0.3165 0.0000
4 O 0.0483 0.3309 0.0000
5 O 0.3015 0.6985 0.5000
6 O 0.3309 0.0483 0.0000
7 O 0.5000 0.5000 0.0000
8 O 0.6691 0.9517 0.0000
9 O 0.6985 0.3015 0.5000
10 O 0.9517 0.6691 0.0000
11 F 0.0000 0.0000 0.5000

Main lines, by angle (2θ from 10° to 90°):
two_theta	I_rel
22.56	100
26.63	64
28.87	93
35.17	41
36.95	66
46.05	21
48.43	29
54.03	49
55.27	31
69.05	19

Record 6
For Ta3O7F, a structure optimized by DFT (PBE) gives the theoretical powder diffraction line list in this record (Cu Kα X-rays).

Lattice parameters (Å, degrees): 6.3099 6.3099 3.8869 90.00 90.00 117.94
Atoms (fractional coordinates):
1 Ta 0.0000 0.0000 0.0000
2 Ta 0.3013 0.6987 0.0000
3 Ta 0.6987 0.3013 0.0000
4 O 0.0000 0.0000 0.5000
5 O 0.0461 0.3381 0.0000
6 O 0.3110 0.6890 0.5000
7 O 0.3381 0.0461 0.0000
8 O 0.6619 0.9539 0.0000
9 O 0.6890 0.3110 0.5000
10 O 0.9539 0.6619 0.0000
11 F 0.5000 0.5000 0.0000

Main lines, by angle (2θ from 10° to 90°):
two_theta	I_rel
22.88	100
27.42	60
28.30	85
36.00	40
36.70	54
46.74	20
49.02	24
54.75	25
55.04	17
55.55	25

Record 7
For TcO3F, a structure optimized by DFT (PBE) gives the theoretical powder diffraction line list in this record (Cu Kα X-rays).

Lattice parameters (Å, degrees): 6.0176 5.2627 9.5179 90.00 93.25 90.00
Atoms (fractional coordinates):
1 Tc 0.1701 0.0833 0.3623
2 Tc 0.1701 0.4167 0.8623
3 Tc 0.8299 0.5833 0.1377
4 Tc 0.8299 0.9167 0.6377
5 O 0.0411 0.2198 0.2118
6 O 0.0411 0.2802 0.7118
7 O 0.2874 0.1653 0.9498
8 O 0.2874 0.3347 0.4498
9 O 0.3888 0.5850 0.8058
10 O 0.3888 0.9150 0.3058
11 O 0.6112 0.0850 0.6942
12 O 0.6112 0.4150 0.1942
13 O 0.7126 0.6653 0.5502
14 O 0.7126 0.8347 0.0502
15 O 0.9589 0.7198 0.2882
16 O 0.9589 0.7802 0.7882
17 F 0.1494 0.6334 0.0421
18 F 0.1494 0.8666 0.5421
19 F 0.8506 0.1334 0.4579
20 F 0.8506 0.3666 0.9579

Main lines, by angle (2θ from 10° to 90°):
two_theta	I_rel
14.74	68
19.28	88
22.46	29
23.20	64
24.54	44
24.68	100
25.25	29
33.01	34
34.40	21
38.54	22

Record 8
For TcOF4, a structure optimized by DFT (PBE) gives the theoretical powder diffraction line list in this record (Cu Kα X-rays).

Lattice parameters (Å, degrees): 9.3069 9.3069 8.2890 90.00 90.00 120.00
Atoms (fractional coordinates):
1 Tc 0.0662 0.3961 0.2500
2 Tc 0.3299 0.9338 0.2500
3 Tc 0.3961 0.3299 0.7500
4 Tc 0.6039 0.6701 0.2500
5 Tc 0.6701 0.0662 0.7500
6 Tc 0.9338 0.6039 0.7500
7 O 0.1373 0.6826 0.7500
8 O 0.3174 0.4547 0.7500
9 O 0.4547 0.1373 0.2500
10 O 0.5453 0.8627 0.7500
11 O 0.6826 0.5453 0.2500
12 O 0.8627 0.3174 0.2500
13 F 0.0940 0.2117 0.2500
14 F 0.1177 0.9060 0.2500
15 F 0.1223 0.4212 0.0303
16 F 0.1223 0.4212 0.4697
17 F 0.1468 0.6310 0.2500
18 F 0.2117 0.1177 0.7500
19 F 0.2989 0.8777 0.0303
20 F 0.2989 0.8777 0.4697
21 F 0.3690 0.5159 0.2500
22 F 0.4212 0.2989 0.5303
23 F 0.4212 0.2989 0.9697
24 F 0.4841 0.8532 0.2500
25 F 0.5159 0.1468 0.7500
26 F 0.5788 0.7011 0.0303
27 F 0.5788 0.7011 0.4697
28 F 0.6310 0.4841 0.7500
29 F 0.7011 0.1223 0.5303
30 F 0.7011 0.1223 0.9697
31 F 0.7883 0.8823 0.2500
32 F 0.8532 0.3690 0.7500
33 F 0.8777 0.5788 0.5303
34 F 0.8777 0.5788 0.9697
35 F 0.8823 0.0940 0.7500
36 F 0.9060 0.7883 0.7500

Main lines, by angle (2θ from 10° to 90°):
two_theta	I_rel
15.33	31
19.07	24
21.44	38
21.90	100
24.56	14
29.32	27
31.28	11
37.87	15
43.68	12
46.37	13

Record 9
For Tc2O5F4, a structure optimized by DFT (PBE) gives the theoretical powder diffraction line list in this record (Cu Kα X-rays).

Lattice parameters (Å, degrees): 8.6369 15.4085 5.4870 90.00 90.43 90.00
Atoms (fractional coordinates):
1 Tc 0.1260 0.1242 0.1762
2 Tc 0.1260 0.3758 0.6762
3 Tc 0.3735 0.6467 0.9829
4 Tc 0.3735 0.8533 0.4829
5 Tc 0.6265 0.1467 0.5171
6 Tc 0.6265 0.3533 0.0171
7 Tc 0.8740 0.6242 0.3238
8 Tc 0.8740 0.8758 0.8238
9 O 0.0376 0.5969 0.4821
10 O 0.0376 0.9031 0.9821
11 O 0.1413 0.0577 0.4234
12 O 0.1413 0.4423 0.9234
13 O 0.2824 0.1054 0.9961
14 O 0.2824 0.3946 0.4961
15 O 0.3839 0.5957 0.7119
16 O 0.3839 0.9043 0.2119
17 O 0.3876 0.5635 0.1817
18 O 0.3876 0.9365 0.6817
19 O 0.6124 0.0635 0.3183
20 O 0.6124 0.4365 0.8183
21 O 0.6161 0.0957 0.7881
22 O 0.6161 0.4043 0.2881
23 O 0.7176 0.6054 0.5039
24 O 0.7176 0.8946 0.0039
25 O 0.8587 0.5577 0.0766
26 O 0.8587 0.9423 0.5766
27 O 0.9624 0.0969 0.0179
28 O 0.9624 0.4031 0.5179
29 F 0.1190 0.2401 0.2739
30 F 0.1190 0.2599 0.7739
31 F 0.1590 0.6626 0.9921
32 F 0.1590 0.8374 0.4921
33 F 0.3552 0.7334 0.2875
34 F 0.3552 0.7666 0.7875
35 F 0.4210 0.1846 0.4944
36 F 0.4210 0.3154 0.9944
37 F 0.5790 0.6846 0.0056
38 F 0.5790 0.8154 0.5056
39 F 0.6448 0.2334 0.2125
40 F 0.6448 0.2666 0.7125
41 F 0.8410 0.1626 0.5079
42 F 0.8410 0.3374 0.0079
43 F 0.8810 0.7401 0.2261
44 F 0.8810 0.7599 0.7261

Main lines, by angle (2θ from 10° to 90°):
two_theta	I_rel
19.93	86
21.37	93
22.45	100
23.09	52
23.73	15
25.86	47
26.98	28
40.18	21
41.83	30
45.60	15